[1]
PaNbB4: calculated powder diffractogram (Cu Kα (weighted mean of Kα1 and Kα2)), based on a cell relaxed with GGA-PBE.

Structural model:
Lattice parameters (Å, degrees): 6.0607 11.7286 3.7857 90.00 90.00 90.00
Atoms (fractional coordinates):
Pa 0.1263 0.1511 0.0000
Pa 0.3737 0.6511 0.0000
Pa 0.6263 0.3489 0.0000
Pa 0.8737 0.8489 0.0000
Nb 0.1344 0.4126 0.0000
Nb 0.3656 0.9126 0.0000
Nb 0.6344 0.0874 0.0000
Nb 0.8656 0.5874 0.0000
B 0.0258 0.6934 0.5000
B 0.1150 0.5472 0.5000
B 0.1323 0.9684 0.5000
B 0.2083 0.8129 0.5000
B 0.2917 0.3129 0.5000
B 0.3677 0.4684 0.5000
B 0.3850 0.0472 0.5000
B 0.4742 0.1934 0.5000
B 0.5258 0.8066 0.5000
B 0.6150 0.9528 0.5000
B 0.6323 0.5316 0.5000
B 0.7083 0.6871 0.5000
B 0.7917 0.1871 0.5000
B 0.8677 0.0316 0.5000
B 0.8850 0.4528 0.5000
B 0.9742 0.3066 0.5000

Top 12 peaks for 15 to 90 degrees two-theta, by angle:
2theta, intensity
21.08, 17.5
23.50, 82.5
27.14, 28.0
30.47, 80.1
33.96, 17.9
36.20, 31.7
38.84, 100.0
41.72, 24.4
44.78, 20.9
48.06, 21.5
55.16, 17.9
57.99, 27.2

---

[2]
CsNpTe3Se: calculated powder diffractogram (Cu Kα (weighted mean of Kα1 and Kα2)), based on a cell relaxed with GGA-PBE.

Structural model:
Lattice parameters (Å, degrees): 9.3423 4.2190 12.0494 90.00 106.87 90.00
Atoms (fractional coordinates):
Cs 0.2231 0.2500 0.3129
Cs 0.7769 0.7500 0.6871
Np 0.3255 0.7500 0.8402
Np 0.6745 0.2500 0.1598
Te 0.1053 0.2500 0.9127
Te 0.3498 0.7500 0.5989
Te 0.4249 0.7500 0.1143
Te 0.5751 0.2500 0.8857
Te 0.6502 0.2500 0.4011
Te 0.8947 0.7500 0.0873
Se 0.1441 0.2500 0.7069
Se 0.8559 0.7500 0.2931

Top 12 peaks for 15 to 90 degrees two-theta, by angle:
2theta, intensity
27.80, 16.4
28.58, 60.4
29.10, 100.0
29.67, 22.9
30.91, 37.2
31.02, 16.3
31.67, 15.6
38.36, 15.6
38.77, 25.3
39.61, 16.8
42.87, 27.5
53.02, 14.6

---

[3]
Sr2Pb8Au: calculated powder diffractogram (Cu Kα (weighted mean of Kα1 and Kα2)), based on a cell relaxed with GGA-PBE.

Structural model:
Lattice parameters (Å, degrees): 5.0551 5.0551 13.4427 90.00 90.00 90.00
Atoms (fractional coordinates):
Sr 0.0000 0.0000 0.1828
Sr 0.0000 0.0000 0.8172
Pb 0.0000 0.5000 0.0000
Pb 0.0000 0.5000 0.3723
Pb 0.0000 0.5000 0.6277
Pb 0.5000 0.0000 0.0000
Pb 0.5000 0.0000 0.3723
Pb 0.5000 0.0000 0.6277
Pb 0.5000 0.5000 0.1898
Pb 0.5000 0.5000 0.8102
Au 0.0000 0.0000 0.5000

Top 12 peaks for 15 to 90 degrees two-theta, by angle:
2theta, intensity
18.75, 8.8
22.00, 11.4
28.28, 15.9
32.03, 100.0
33.33, 11.9
35.52, 49.8
49.50, 16.0
51.11, 18.0
54.75, 8.7
60.92, 13.6
61.60, 31.7
83.46, 11.8

---

[4]
AcAgH6Pd: calculated powder diffractogram (Cu Kα (weighted mean of Kα1 and Kα2)), based on a cell relaxed with GGA-PBE.

Structural model:
Lattice parameters (Å, degrees): 4.8580 4.8580 4.7420 90.00 90.00 120.00
Atoms (fractional coordinates):
Ac 0.0000 0.0000 0.0000
Ag 0.3333 0.6667 0.5000
H 0.5096 0.0192 0.2408
H 0.5096 0.0192 0.7592
H 0.5096 0.4904 0.2408
H 0.5096 0.4904 0.7592
H 0.9808 0.4904 0.2408
H 0.9808 0.4904 0.7592
Pd 0.6667 0.3333 0.5000

Top 12 peaks for 15 to 90 degrees two-theta, by angle:
2theta, intensity
21.12, 9.9
28.36, 100.0
37.01, 43.7
37.95, 13.3
47.27, 25.0
54.05, 29.8
61.51, 22.8
62.80, 10.7
66.70, 7.8
79.39, 9.6
85.75, 9.3
86.89, 9.0

---

[5]
Pb: calculated powder diffractogram (Cu Kα (weighted mean of Kα1 and Kα2)), based on a cell relaxed with GGA-PBE.

Structural model:
Lattice parameters (Å, degrees): 3.5724 3.5724 8.7481 99.51 99.51 60.13
Atoms (fractional coordinates):
Pb 0.0000 0.0000 0.0000
Pb 0.2311 0.2311 0.6697
Pb 0.7689 0.7689 0.3303

Top 12 peaks for 15 to 90 degrees two-theta, by angle:
2theta, intensity
28.96, 28.1
29.28, 20.8
31.25, 68.0
31.77, 100.0
32.72, 39.9
33.13, 36.1
34.12, 78.8
51.18, 34.9
54.39, 23.8
59.99, 23.8
61.06, 30.1
62.39, 19.7

---

[6]
K2Ba2UO6: calculated powder diffractogram (Cu Kα (weighted mean of Kα1 and Kα2)), based on a cell relaxed with GGA-PBE.

Structural model:
Lattice parameters (Å, degrees): 6.5754 6.5754 6.6730 97.85 97.85 118.38
Atoms (fractional coordinates):
K 0.1520 0.8480 0.0000
K 0.8480 0.1520 0.0000
Ba 0.3376 0.6624 0.5000
Ba 0.6624 0.3376 0.5000
U 0.0000 0.0000 0.5000
O 0.0390 0.3170 0.6749
O 0.2045 0.2045 0.3113
O 0.3170 0.0390 0.6749
O 0.6830 0.9610 0.3251
O 0.7955 0.7955 0.6887
O 0.9610 0.6830 0.3251

Top 12 peaks for 15 to 90 degrees two-theta, by angle:
2theta, intensity
15.74, 43.6
27.27, 30.1
27.43, 100.0
27.74, 44.8
29.03, 72.1
32.43, 95.1
33.59, 44.6
36.55, 21.5
42.05, 26.7
47.22, 33.3
47.56, 29.7
56.69, 27.5

---

[7]
La5Y2: calculated powder diffractogram (Cu Kα (weighted mean of Kα1 and Kα2)), based on a cell relaxed with GGA-PBE.

Structural model:
Lattice parameters (Å, degrees): 8.5157 8.5157 11.6222 131.76 131.76 24.58
Atoms (fractional coordinates):
La 0.0000 0.0000 0.0000
La 0.1620 0.1620 0.6611
La 0.3662 0.3662 0.0974
La 0.6338 0.6338 0.9026
La 0.8380 0.8380 0.3389
Y 0.3648 0.3648 0.6337
Y 0.6352 0.6352 0.3663

Top 12 peaks for 15 to 90 degrees two-theta, by angle:
2theta, intensity
23.04, 38.3
23.38, 20.0
29.34, 26.1
29.85, 100.0
30.05, 76.5
30.78, 69.3
31.56, 22.9
32.31, 32.2
36.44, 34.6
36.86, 43.5
60.17, 20.1
60.83, 27.1

---

[8]
KAsIO2: calculated powder diffractogram (Cu Kα (weighted mean of Kα1 and Kα2)), based on a cell relaxed with GGA-PBE.

Structural model:
Lattice parameters (Å, degrees): 8.5995 8.5995 5.2288 90.00 90.00 138.70
Atoms (fractional coordinates):
K 0.1052 0.8948 0.7500
K 0.8948 0.1052 0.2500
As 0.4593 0.5407 0.7500
As 0.5407 0.4593 0.2500
I 0.2591 0.7409 0.2500
I 0.7409 0.2591 0.7500
O 0.3026 0.3026 0.0000
O 0.3026 0.3026 0.5000
O 0.6974 0.6974 0.0000
O 0.6974 0.6974 0.5000

Top 12 peaks for 15 to 90 degrees two-theta, by angle:
2theta, intensity
15.61, 15.3
22.10, 31.4
23.13, 20.9
28.00, 100.0
29.46, 20.9
31.48, 13.0
34.30, 13.0
45.11, 9.7
45.62, 12.2
45.83, 18.3
51.39, 25.1
57.65, 12.4

---

[9]
Pu2AuO8: calculated powder diffractogram (Cu Kα (weighted mean of Kα1 and Kα2)), based on a cell relaxed with GGA-PBE.

Structural model:
Lattice parameters (Å, degrees): 4.4684 5.7259 6.9793 72.60 85.33 88.60
Atoms (fractional coordinates):
Pu 0.2276 0.1266 0.1371
Pu 0.7724 0.8734 0.8629
Au 0.0000 0.5000 0.5000
O 0.2102 0.8220 0.3478
O 0.2366 0.3091 0.3396
O 0.2536 0.4030 0.9257
O 0.2586 0.9320 0.9238
O 0.7414 0.0680 0.0762
O 0.7464 0.5970 0.0743
O 0.7634 0.6909 0.6604
O 0.7898 0.1780 0.6522

Top 12 peaks for 15 to 90 degrees two-theta, by angle:
2theta, intensity
19.94, 26.0
23.17, 72.4
23.98, 100.0
25.81, 52.0
26.94, 59.2
27.55, 70.4
31.48, 27.4
32.43, 31.8
34.94, 24.3
38.66, 22.4
41.77, 21.7
43.90, 34.9

---

[10]
TmHf2Ti: calculated powder diffractogram (Cu Kα (weighted mean of Kα1 and Kα2)), based on a cell relaxed with GGA-PBE.

Structural model:
Lattice parameters (Å, degrees): 10.4221 10.4221 10.4221 17.62 17.62 17.62
Atoms (fractional coordinates):
Tm 0.0000 0.0000 0.0000
Hf 0.2433 0.2433 0.2433
Hf 0.4232 0.4232 0.4232
Ti 0.8334 0.8334 0.8334

Top 12 peaks for 15 to 90 degrees two-theta, by angle:
2theta, intensity
26.06, 19.3
32.52, 25.9
32.92, 17.6
34.47, 40.6
34.99, 40.2
35.60, 100.0
38.47, 54.2
44.03, 19.2
57.76, 33.4
58.46, 17.0
61.20, 21.7
69.35, 32.9